1.
Structure and calculated powder X-ray diffraction pattern of Ca5B3N6 (a crystal structure in Alexandria, relaxed with PBE; Cu Kα).
Intensities are scaled so that the largest is 100.

Unit cell a=6.4044 b=6.4044 c=6.4044 alpha=109.47 beta=109.47 gamma=109.47
Fractional positions:
Ca1 0.0000 0.0000 0.0000
Ca2 0.0000 0.0000 0.5000
Ca3 0.0000 0.5000 0.0000
Ca4 0.5000 0.0000 0.0000
Ca5 0.5000 0.5000 0.5000
B1 0.0000 0.5000 0.5000
B2 0.5000 0.0000 0.5000
B3 0.5000 0.5000 0.0000
N1 0.0000 0.3176 0.3176
N2 0.0000 0.6824 0.6824
N3 0.3176 0.0000 0.3176
N4 0.3176 0.3176 0.0000
N5 0.6824 0.0000 0.6824
N6 0.6824 0.6824 0.0000

Top 10 peaks for 15 to 90 degrees two-theta, by angle:
2θ (°)  I/Imax
16.96  17.5
24.07  9.2
34.30  100.0
38.50  15.6
42.34  16.4
49.29  24.4
55.58  8.6
61.42  24.4
72.27  11.0
82.49  16.0


2.
Structure and calculated powder X-ray diffraction pattern of KNiW2 (a crystal structure in Alexandria, relaxed with PBE; Cu Kα).
Intensities are scaled so that the largest is 100.

Unit cell a=3.2746 b=4.4851 c=9.9244 alpha=90.00 beta=90.00 gamma=90.00
Fractional positions:
K1 0.0000 0.0000 0.0000
K2 0.5000 0.5000 0.0000
Ni1 0.0000 0.5000 0.7247
Ni2 0.5000 0.0000 0.7247
W1 0.0000 0.0000 0.5371
W2 0.0000 0.5000 0.3181
W3 0.5000 0.0000 0.3181
W4 0.5000 0.5000 0.5371

Top 10 peaks for 15 to 90 degrees two-theta, by angle:
2θ (°)  I/Imax
35.12  15.8
36.20  18.0
38.58  100.0
40.21  26.2
41.27  11.9
43.83  40.4
45.71  12.5
55.21  10.8
72.01  20.6
76.19  11.4


3.
Structure and calculated powder X-ray diffraction pattern of PuZn3Ge (a crystal structure in Alexandria, relaxed with PBE; Cu Kα).
Intensities are scaled so that the largest is 100.

Unit cell a=4.0971 b=4.0971 c=11.0816 alpha=90.00 beta=90.00 gamma=90.00
Fractional positions:
Pu1 0.0000 0.0000 0.0000
Pu2 0.5000 0.5000 0.5000
Zn1 0.0000 0.0000 0.3757
Zn2 0.0000 0.5000 0.2435
Zn3 0.0000 0.5000 0.7435
Zn4 0.5000 0.0000 0.2435
Zn5 0.5000 0.0000 0.7435
Zn6 0.5000 0.5000 0.8757
Ge1 0.0000 0.0000 0.5975
Ge2 0.5000 0.5000 0.0975

Top 10 peaks for 15 to 90 degrees two-theta, by angle:
2θ (°)  I/Imax
23.15  24.4
30.86  23.9
32.64  68.2
34.95  100.0
44.21  43.9
46.59  36.9
56.02  30.0
64.31  14.1
66.17  25.9
75.33  21.3


4.
Structure and calculated powder X-ray diffraction pattern of Fe2Ni2H3 (a crystal structure in Alexandria, relaxed with PBE; Cu Kα).
Intensities are scaled so that the largest is 100.

Unit cell a=2.5720 b=4.5049 c=4.6559 alpha=97.96 beta=90.03 gamma=106.56
Fractional positions:
Fe1 0.1219 0.2419 0.3818
Fe2 0.8781 0.7581 0.6182
Ni1 0.3779 0.7565 0.1258
Ni2 0.6221 0.2435 0.8742
H1 0.0000 0.0000 0.0000
H2 0.2476 0.4941 0.7487
H3 0.7524 0.5059 0.2513

Top 10 peaks for 15 to 90 degrees two-theta, by angle:
2θ (°)  I/Imax
41.77  34.4
42.32  100.0
47.47  24.7
49.91  41.9
70.96  13.1
71.72  12.7
84.77  7.7
87.69  6.9
88.41  10.2
88.81  6.9


5.
Structure and calculated powder X-ray diffraction pattern of Rb3AsPb4 (a crystal structure in Alexandria, relaxed with PBE; Cu Kα).
Intensities are scaled so that the largest is 100.

Unit cell a=6.9809 b=13.5839 c=6.8432 alpha=90.00 beta=90.00 gamma=90.00
Fractional positions:
Rb1 0.2500 0.0054 0.1826
Rb2 0.2500 0.4946 0.1826
Rb3 0.2500 0.7500 0.5531
Rb4 0.7500 0.2500 0.4469
Rb5 0.7500 0.5054 0.8174
Rb6 0.7500 0.9946 0.8174
As1 0.2500 0.2500 0.3377
As2 0.7500 0.7500 0.6623
Pb1 0.0041 0.2500 0.9619
Pb2 0.2500 0.1152 0.6724
Pb3 0.2500 0.3848 0.6724
Pb4 0.4959 0.2500 0.9619
Pb5 0.5041 0.7500 0.0381
Pb6 0.7500 0.6152 0.3276
Pb7 0.7500 0.8848 0.3276
Pb8 0.9959 0.7500 0.0381

Top 10 peaks for 15 to 90 degrees two-theta, by angle:
2θ (°)  I/Imax
28.73  100.0
29.23  44.5
29.36  42.5
31.65  80.4
32.10  70.9
32.81  41.5
35.01  43.0
36.78  38.2
37.34  34.8
55.18  37.0


6.
Structure and calculated powder X-ray diffraction pattern of Cs4BiSbCl12 (a crystal structure in Alexandria, relaxed with PBE; Cu Kα).
Intensities are scaled so that the largest is 100.

Unit cell a=13.3348 b=13.3348 c=13.3348 alpha=131.61 beta=131.61 gamma=70.84
Fractional positions:
Cs1 0.0000 0.2175 0.2175
Cs2 0.0000 0.7825 0.7825
Cs3 0.2175 0.0000 0.7175
Cs4 0.2175 0.5000 0.2175
Cs5 0.5000 0.2175 0.7175
Cs6 0.5000 0.7825 0.2825
Cs7 0.7825 0.0000 0.2825
Cs8 0.7825 0.5000 0.7825
Bi1 0.1250 0.8750 0.2500
Bi2 0.8750 0.1250 0.7500
Sb1 0.3750 0.6250 0.7500
Sb2 0.6250 0.3750 0.2500
Cl1 0.0007 0.2507 0.7500
Cl2 0.1291 0.1293 0.9999
Cl3 0.1293 0.1291 0.4999
Cl4 0.1293 0.6294 0.0001
Cl5 0.1530 0.6245 0.5285
Cl6 0.2507 0.0007 0.2500
Cl7 0.2638 0.5138 0.7500
Cl8 0.3706 0.8707 0.4999
Cl9 0.3755 0.4040 0.5285
Cl10 0.3755 0.8470 0.9715
Cl11 0.4040 0.3755 0.0285
Cl12 0.4862 0.7362 0.7500
Cl13 0.5138 0.2638 0.2500
Cl14 0.5960 0.6245 0.9715
Cl15 0.6245 0.1530 0.0285
Cl16 0.6245 0.5960 0.4715
Cl17 0.6294 0.1293 0.5001
Cl18 0.7362 0.4862 0.2500
Cl19 0.7493 0.9993 0.7500
Cl20 0.8470 0.3755 0.4715
Cl21 0.8707 0.3706 0.9999
Cl22 0.8709 0.8707 0.0001
Cl23 0.8707 0.8709 0.5001
Cl24 0.9993 0.7493 0.2500

Top 10 peaks for 15 to 90 degrees two-theta, by angle:
2θ (°)  I/Imax
23.06  100.0
27.07  19.3
28.34  29.6
32.77  41.6
32.97  23.3
40.47  23.8
40.59  14.5
47.03  12.0
47.18  27.5
58.63  11.7


7.
Structure and calculated powder X-ray diffraction pattern of BaGdGa2 (a crystal structure in Alexandria, relaxed with PBE; Cu Kα).
Intensities are scaled so that the largest is 100.

Unit cell a=3.8540 b=3.8540 c=7.6716 alpha=90.00 beta=90.00 gamma=90.00
Fractional positions:
Ba1 0.0000 0.0000 0.0000
Gd1 0.0000 0.0000 0.5000
Ga1 0.5000 0.5000 0.3017
Ga2 0.5000 0.5000 0.6983

Top 10 peaks for 15 to 90 degrees two-theta, by angle:
2θ (°)  I/Imax
23.08  9.2
23.19  6.8
32.92  100.0
40.61  6.2
47.16  13.3
53.17  4.9
53.36  6.0
58.73  23.8
58.88  7.7
78.50  10.9


8.
Structure and calculated powder X-ray diffraction pattern of YGe4Pd4 (a crystal structure in Alexandria, relaxed with PBE; Cu Kα).
Intensities are scaled so that the largest is 100.

Unit cell a=6.2454 b=6.2454 c=8.3550 alpha=90.00 beta=90.00 gamma=90.00
Fractional positions:
Y1 0.2500 0.7500 0.2500
Y2 0.7500 0.2500 0.7500
Ge1 0.0276 0.2500 0.0531
Ge2 0.2500 0.0276 0.5531
Ge3 0.2500 0.4724 0.5531
Ge4 0.4724 0.2500 0.0531
Ge5 0.5276 0.7500 0.9469
Ge6 0.7500 0.5276 0.4469
Ge7 0.7500 0.9724 0.4469
Ge8 0.9724 0.7500 0.9469
Pd1 0.0273 0.2500 0.3498
Pd2 0.2500 0.0273 0.8498
Pd3 0.2500 0.4727 0.8498
Pd4 0.4727 0.2500 0.3498
Pd5 0.5273 0.7500 0.6502
Pd6 0.7500 0.5273 0.1502
Pd7 0.7500 0.9727 0.1502
Pd8 0.9727 0.7500 0.6502

Top 10 peaks for 15 to 90 degrees two-theta, by angle:
2θ (°)  I/Imax
17.73  19.7
25.66  15.6
33.84  100.0
35.29  24.1
40.87  46.0
43.54  66.0
45.81  18.9
59.17  23.0
70.65  15.1
76.27  19.0


9.
Structure and calculated powder X-ray diffraction pattern of HfMg14Cr (a crystal structure in Alexandria, relaxed with PBE; Cu Kα).
Intensities are scaled so that the largest is 100.

Unit cell a=6.3659 b=6.3659 c=10.1156 alpha=90.00 beta=90.00 gamma=120.00
Fractional positions:
Hf1 0.0000 0.0000 0.0000
Mg1 0.0082 0.5041 0.0000
Mg2 0.1619 0.3238 0.2515
Mg3 0.1619 0.3238 0.7485
Mg4 0.1619 0.8381 0.2515
Mg5 0.1619 0.8381 0.7485
Mg6 0.4959 0.5041 0.0000
Mg7 0.4959 0.9918 0.0000
Mg8 0.5009 0.0019 0.5000
Mg9 0.5009 0.4991 0.5000
Mg10 0.6667 0.3333 0.2415
Mg11 0.6667 0.3333 0.7585
Mg12 0.6762 0.8381 0.2515
Mg13 0.6762 0.8381 0.7485
Mg14 0.9981 0.4991 0.5000
Cr1 0.0000 0.0000 0.5000

Top 10 peaks for 15 to 90 degrees two-theta, by angle:
2θ (°)  I/Imax
16.08  49.1
18.33  29.9
23.88  34.7
32.48  29.9
35.50  24.5
37.15  100.0
48.87  18.5
57.95  16.9
64.82  19.5
69.83  18.8


10.
Structure and calculated powder X-ray diffraction pattern of TaSi2Te6 (a crystal structure in Alexandria, relaxed with PBE; Cu Kα).
Intensities are scaled so that the largest is 100.

Unit cell a=7.8765 b=7.8765 c=7.8765 alpha=54.56 beta=54.56 gamma=54.56
Fractional positions:
Ta1 0.0000 0.0000 0.0000
Si1 0.6070 0.6070 0.6070
Si2 0.7220 0.7220 0.7220
Te1 0.0701 0.7984 0.3968
Te2 0.2167 0.6193 0.8949
Te3 0.3968 0.0701 0.7984
Te4 0.6193 0.8949 0.2167
Te5 0.7984 0.3968 0.0701
Te6 0.8949 0.2167 0.6193

Top 10 peaks for 15 to 90 degrees two-theta, by angle:
2θ (°)  I/Imax
16.71  16.6
26.68  15.2
28.09  100.0
36.65  29.5
43.42  26.5
47.99  17.8
51.69  9.1
52.52  12.6
70.43  7.9
72.51  8.2


11.
Structure and calculated powder X-ray diffraction pattern of Cs4CuSi2O7 (a crystal structure in Alexandria, relaxed with PBE; Cu Kα).
Intensities are scaled so that the largest is 100.

Unit cell a=6.6188 b=7.5903 c=7.6172 alpha=106.29 beta=110.33 gamma=109.49
Fractional positions:
Cs1 0.1089 0.3718 0.2791
Cs2 0.2123 0.2345 0.7748
Cs3 0.7877 0.7655 0.2252
Cs4 0.8911 0.6282 0.7209
Cu1 0.5000 0.0000 0.5000
Si1 0.4908 0.8647 0.7785
Si2 0.5092 0.1353 0.2215
O1 0.2620 0.8461 0.5766
O2 0.2711 0.9915 0.2389
O3 0.4633 0.6416 0.7671
O4 0.5000 0.0000 0.0000
O5 0.5367 0.3584 0.2329
O6 0.7289 0.0085 0.7611
O7 0.7380 0.1539 0.4234

Top 10 peaks for 15 to 90 degrees two-theta, by angle:
2θ (°)  I/Imax
24.51  28.1
24.93  27.8
25.79  29.7
26.05  100.0
27.44  56.6
27.95  48.5
29.36  21.0
30.57  55.7
33.64  20.2
35.49  32.7


12.
Structure and calculated powder X-ray diffraction pattern of Sb6O13 (a crystal structure in Alexandria, relaxed with PBE; Cu Kα).
Intensities are scaled so that the largest is 100.

Unit cell a=7.3880 b=7.3880 c=7.3880 alpha=120.60 beta=120.40 gamma=89.14
Fractional positions:
Sb1 0.2476 0.0000 0.2476
Sb2 0.2532 0.0033 0.7501
Sb3 0.2532 0.5031 0.2499
Sb4 0.7459 0.0112 0.2653
Sb5 0.7459 0.4807 0.7347
Sb6 0.7524 0.0000 0.7524
O1 0.1623 0.0697 0.4866
O2 0.1623 0.6757 0.0926
O3 0.1845 0.6845 0.5000
O4 0.3213 0.3213 0.0000
O5 0.3459 0.3264 0.4048
O6 0.3459 0.9410 0.0195
O7 0.5737 0.0737 0.5000
O8 0.5831 0.0697 0.9074
O9 0.5831 0.6757 0.5134
O10 0.8353 0.3353 0.5000
O11 0.9216 0.3264 0.9805
O12 0.9216 0.9410 0.5952
O13 0.9311 0.9311 0.0000

Top 10 peaks for 15 to 90 degrees two-theta, by angle:
2θ (°)  I/Imax
16.84  13.1
24.29  8.7
28.49  15.2
29.70  100.0
34.07  10.8
34.60  19.0
49.35  30.7
58.30  14.4
58.96  13.7
59.06  13.5